Calculated powder diffraction line list
Compound: TbDyZr2Sb2
Radiation: Cu Kα (λ = 1.5418 Å)
Structure: a crystal structure in OQMD, relaxed with GGA-PBE
Neutral-atom scattering factors, no anomalous dispersion.

Structure:
Cell lengths 4.274, 4.274, 16.670 Å; angles 90.00, 90.00, 90.00 degrees
Space group I4mm (No. 107)
Asymmetric unit:
1 Tb 0.000 0.000 0.000 (multiplicity 2)
2 Dy 0.000 0.000 0.354 (multiplicity 2)
3 Zr 0.000 0.500 0.177 (multiplicity 4)
4 Sb 0.000 0.000 0.544 (multiplicity 2)
5 Sb 0.000 0.000 0.810 (multiplicity 2)

Most intense lines, 10 to 80 degrees two-theta, in order of rising 2θ:
- (1 1 0), 29.6 deg, d 3.022, intensity 48
- (1 1 2), 31.5 deg, d 2.841, intensity 97
- (0 0 6), 32.2 deg, d 2.778, intensity 42
- (1 0 5), 34.1 deg, d 2.629, intensity 63
- (1 1 4), 36.7 deg, d 2.447, intensity 100
- (2 0 0), 42.3 deg, d 2.137, intensity 73